For Ce3FeC3, a GGA-PBE-relaxed structure gives the calculated X-ray powder pattern in this record (Cu Ka).

Largest 8 diffraction maxima, by intensity, 2θ from 15° to 90°:
- hkl 2 2 1, 2θ = 32.39°, 2.764 Å, I 100
- hkl 3 1 0, 2θ = 33.09°, 2.707 Å, I 50
- hkl 0 0 2, 2θ = 34.16°, 2.625 Å, I 41
- hkl 0 4 0, 2θ = 35.16°, 2.553 Å, I 27
- hkl 0 4 2, 2θ = 49.84°, 1.830 Å, I 21
- hkl 2 2 3, 2θ = 60.04°, 1.541 Å, I 17
- hkl 3 1 2, 2θ = 48.27°, 1.885 Å, I 16
- hkl 1 1 1, 2θ = 21.76°, 4.084 Å, I 12

Structural model:
abc: 8.431 10.210 5.250
angles: 90.00 90.00 90.00
Space group Cmcm (No. 63)
Asymmetric unit:
Ce  0.000  0.114  0.250 (multiplicity 4)
Ce  0.201  0.376  0.250 (multiplicity 8)
Fe  0.000  0.302  0.750 (multiplicity 4)
C  0.000  0.123  0.750 (multiplicity 4)
C  0.203  0.368  0.750 (multiplicity 8)

***

For CeFe2PC, a GGA-PBE-relaxed structure gives the calculated X-ray powder pattern in this record (Cu Ka).

Largest 8 diffraction maxima, by intensity, 2θ from 15° to 90°:
- hkl 1 1 2, 2θ = 37.06°, 2.426 Å, I 100
- hkl 1 3 1, 2θ = 37.69°, 2.387 Å, I 55
- hkl 0 4 1, 2θ = 36.81°, 2.442 Å, I 50
- hkl 1 3 0, 2θ = 35.12°, 2.555 Å, I 45
- hkl 2 0 0, 2θ = 48.67°, 1.871 Å, I 27
- hkl 0 2 2, 2θ = 31.73°, 2.820 Å, I 27
- hkl 0 2 3, 2θ = 44.14°, 2.052 Å, I 23
- hkl 2 4 1, 2θ = 62.55°, 1.485 Å, I 20

Structural model:
abc: 3.742 10.492 6.689
angles: 90.00 90.00 90.00
Space group Cmcm (No. 63)
Asymmetric unit:
Ce  0.000  0.054  0.250 (multiplicity 4)
Fe  0.000  0.333  0.056 (multiplicity 8)
P  0.000  0.226  0.750 (multiplicity 4)
C  0.000  0.500  0.000 (multiplicity 4)

***

For CeTa2FeC4, a GGA-PBE-relaxed structure gives the calculated X-ray powder pattern in this record (Cu Ka).

Largest 8 diffraction maxima, by intensity, 2θ from 15° to 90°:
- hkl 1 1 2, 2θ = 33.25°, 2.694 Å, I 100
- hkl 0 2 3, 2θ = 29.58°, 3.020 Å, I 71
- hkl 1 3 2, 2θ = 40.67°, 2.218 Å, I 63
- hkl 0 4 0, 2θ = 32.39°, 2.764 Å, I 55
- hkl 2 0 0, 2θ = 56.93°, 1.617 Å, I 43
- hkl 1 3 1, 2θ = 37.91°, 2.373 Å, I 31
- hkl 0 0 4, 2θ = 33.13°, 2.704 Å, I 28
- hkl 1 1 5, 2θ = 51.47°, 1.775 Å, I 25

Structural model:
abc: 3.238 11.056 10.816
angles: 90.00 90.00 90.00
Space group Cmcm (No. 63)
Asymmetric unit:
Ce  0.000  0.099  0.250 (multiplicity 4)
Ta  0.000  0.370  0.046 (multiplicity 8)
Fe  0.000  0.165  0.750 (multiplicity 4)
C  0.000  0.000  0.000 (multiplicity 4)
C  0.000  0.266  0.617 (multiplicity 8)
C  0.000  0.422  0.250 (multiplicity 4)